This entry pairs a crystal structure of Ac4IrSe3 with its calculated powder diffractogram. Radiation: copper Kα. Structure: a crystal structure in Alexandria, relaxed with GGA-PBE.
Peak positions follow from Bragg's law for the DFT cell and can differ from measured ones.

Crystal structure
```
Ac4IrSe3
1.0
4.5968 -6.3701 0.0000
4.5968 6.3701 0.0000
0.0000 0.0000 4.3638
Ac Ir Se
4 1 3
direct
0.2252 0.2252 0.5000
0.2416 0.7584 0.0000
0.7584 0.2416 0.0000
0.7748 0.7748 0.5000
0.0000 0.0000 0.0000
0.0000 0.5000 0.5000
0.5000 0.0000 0.5000
0.5000 0.5000 0.0000
```

The 10 most intense peaks (2θ = 5–70°), low angle first:
Position (°2θ), d [Å], Rel. int.
11.9, 7.455, 171
28.0, 3.185, 517
28.2, 3.165, 1000
39.2, 2.298, 190
40.2, 2.245, 773
41.4, 2.182, 187
48.9, 1.864, 201
50.7, 1.800, 206
65.6, 1.423, 177
65.9, 1.417, 178

This entry pairs a crystal structure of DyYCd3 with its calculated powder diffractogram. Radiation: copper Kα. Structure: a crystal structure in Alexandria, relaxed with GGA-PBE.
Peak positions follow from Bragg's law for the DFT cell and can differ from measured ones.

Crystal structure
```
DyYCd3
1.0
1.7432 -14.7184 0.0000
1.7432 14.7184 0.0000
0.0000 0.0000 4.9558
Dy Y Cd
2 2 6
direct
0.2151 0.7849 0.7500
0.7849 0.2151 0.2500
0.0748 0.9252 0.2500
0.9252 0.0748 0.7500
0.3252 0.6748 0.7500
0.3793 0.6207 0.2500
0.4763 0.5237 0.2500
0.5237 0.4763 0.7500
0.6207 0.3793 0.7500
0.6748 0.3252 0.2500
```

The 10 most intense peaks (2θ = 5–70°), low angle first:
Position (°2θ), d [Å], Rel. int.
32.7, 2.738, 1000
33.4, 2.684, 527
35.5, 2.531, 919
36.3, 2.478, 487
42.0, 2.149, 151
50.1, 1.821, 329
52.5, 1.743, 175
64.7, 1.441, 152
65.0, 1.436, 300
65.5, 1.426, 165

This entry pairs a crystal structure of ScCdRe with its calculated powder diffractogram. Radiation: copper Kα. Structure: a crystal structure in Alexandria, relaxed with GGA-PBE.
Peak positions follow from Bragg's law for the DFT cell and can differ from measured ones.

Crystal structure
```
ScCdRe
1.0
0.0000 2.3166 7.0286
1.7075 0.0000 7.0286
1.7075 2.3166 0.0000
Sc Cd Re
1 1 1
direct
0.0000 0.0000 0.0000
0.6838 0.6838 0.3162
0.3516 0.3516 0.6484
```

The 10 most intense peaks (2θ = 5–70°), low angle first:
Position (°2θ), d [Å], Rel. int.
12.6, 7.029, 450
33.2, 2.698, 174
37.9, 2.371, 1000
38.4, 2.343, 232
38.9, 2.317, 237
46.2, 1.966, 93
53.7, 1.708, 91
55.8, 1.647, 154
69.2, 1.358, 151
69.8, 1.348, 186

This entry pairs a crystal structure of Ac2Ag3Sn with its calculated powder diffractogram. Radiation: copper Kα. Structure: a crystal structure in Alexandria, relaxed with GGA-PBE.
Peak positions follow from Bragg's law for the DFT cell and can differ from measured ones.

Crystal structure
```
Ac2Ag3Sn
1.0
-2.1608 2.3192 8.7474
2.1608 -2.3192 8.7474
2.1608 2.3192 -8.7474
Ac Ag Sn
2 3 1
direct
0.0000 0.0000 0.0000
0.7534 0.2534 0.5000
0.1702 0.6702 0.5000
0.3281 0.8281 0.5000
0.4244 0.4244 0.0000
0.5869 0.5869 0.0000
```

The 10 most intense peaks (2θ = 5–70°), low angle first:
Position (°2θ), d [Å], Rel. int.
25.7, 3.472, 149
30.1, 2.974, 1000
32.0, 2.793, 289
32.9, 2.719, 283
38.8, 2.319, 218
41.0, 2.200, 183
41.8, 2.162, 327
51.8, 1.765, 157
53.6, 1.709, 137
58.3, 1.581, 244

This entry pairs a crystal structure of Tb2S3 with its calculated powder diffractogram. Radiation: copper Kα. Structure: a crystal structure in Alexandria, relaxed with GGA-PBE.
Peak positions follow from Bragg's law for the DFT cell and can differ from measured ones.

Crystal structure
```
Tb2S3
1.0
10.7084 0.0000 0.0000
0.0000 3.8967 0.0000
0.0000 0.0000 10.5020
Tb S
8 12
direct
0.0098 0.2500 0.1867
0.1921 0.2500 0.5039
0.3079 0.7500 0.0039
0.4902 0.7500 0.6867
0.5098 0.2500 0.3133
0.6921 0.2500 0.9961
0.8079 0.7500 0.4961
0.9902 0.7500 0.8133
0.0457 0.7500 0.3735
0.1196 0.2500 0.9445
0.2281 0.7500 0.6966
0.2719 0.2500 0.1966
0.3804 0.7500 0.4445
0.4543 0.2500 0.8735
0.5457 0.7500 0.1265
0.6196 0.2500 0.5555
0.7281 0.7500 0.8034
0.7719 0.2500 0.3034
0.8804 0.7500 0.0555
0.9543 0.2500 0.6265
```

The 10 most intense peaks (2θ = 5–70°), low angle first:
Position (°2θ), d [Å], Rel. int.
23.7, 3.749, 1000
24.4, 3.653, 447
25.8, 3.458, 435
26.4, 3.380, 548
26.8, 3.327, 485
29.7, 3.004, 476
35.5, 2.530, 576
38.2, 2.355, 488
44.5, 2.034, 353
46.6, 1.948, 350

This entry pairs a crystal structure of ZnTeI with its calculated powder diffractogram. Radiation: copper Kα. Structure: a crystal structure in Alexandria, relaxed with GGA-PBE.
Peak positions follow from Bragg's law for the DFT cell and can differ from measured ones.

Crystal structure
```
ZnTeI
1.0
4.3232 0.0000 0.0000
0.1010 7.0162 0.0000
0.0069 1.8022 7.3838
Zn Te I
2 2 2
direct
0.0023 0.4120 0.3052
0.9977 0.5880 0.6948
0.4954 0.6766 0.8686
0.5046 0.3234 0.1314
0.0063 0.2170 0.6552
0.9937 0.7830 0.3448
```

The 10 most intense peaks (2θ = 5–70°), low angle first:
Position (°2θ), d [Å], Rel. int.
13.0, 6.816, 515
23.9, 3.731, 1000
24.5, 3.626, 375
25.7, 3.468, 503
25.9, 3.434, 436
26.1, 3.414, 702
30.1, 2.965, 505
41.8, 2.161, 364
42.3, 2.139, 537
44.4, 2.040, 321